1.
Starting from the PBE geometry in Alexandria, the X-ray diffraction stick pattern of Ho2CoOs3 was calculated for Cu Kα (λ = 1.5418 Å).
Intensities are scaled so that the largest is 100.

Main lines, by angle (10 to 90 degrees two-theta):
| index | 2θ/deg | I (rel.) |
| --- | --- | --- |
| 0 0 3 | 20.46 | 25.0 |
| 1 0 4 | 33.86 | 60.6 |
| 0 1 5 | 39.89 | 45.3 |
| 1 1 3 | 40.12 | 85.3 |
| 0 2 1 | 40.24 | 100.0 |
| 0 0 6 | 41.62 | 21.2 |
| 2 0 2 | 42.07 | 64.9 |
| 2 1 4 | 60.92 | 23.1 |
| 0 2 7 | 64.73 | 24.5 |
| 1 2 5 | 64.98 | 21.4 |
| 2 0 8 | 71.24 | 31.5 |
| 2 2 0 | 71.87 | 30.7 |

Structural model:
a = 5.2545 Å, b = 5.2545 Å, c = 13.0200 Å
α = 90.00°, β = 90.00°, γ = 120.00°
Space group R-3m (No. 166, hexagonal axes)
One atom of each set of equivalent atoms:
1 Ho 0.0000 0.0000 0.1241 [6 per cell]
2 Co 0.0000 0.0000 0.5000 [3 per cell]
3 Os 0.0000 0.5000 0.0000 [9 per cell]

***

2.
Starting from the PBE geometry in Alexandria, the X-ray diffraction stick pattern of S5I2O18 was calculated for Cu Kα (λ = 1.5418 Å).
Intensities are scaled so that the largest is 100.

Main lines, by angle (10 to 90 degrees two-theta):
| index | 2θ/deg | I (rel.) |
| --- | --- | --- |
| 4 0 0 | 12.11 | 69.2 |
| 3 1 0 | 17.37 | 80.4 |
| 1 1 -1 | 17.64 | 40.7 |
| 1 1 1 | 18.38 | 75.0 |
| 3 1 -1 | 18.95 | 63.9 |
| 4 0 -2 | 20.71 | 30.0 |
| 5 1 1 | 24.81 | 100.0 |
| 4 0 2 | 25.38 | 46.7 |
| 8 0 -2 | 27.82 | 28.8 |
| 6 0 2 | 29.79 | 43.9 |
| 9 1 -1 | 30.96 | 54.0 |
| 0 2 2 | 35.95 | 34.7 |

Structural model:
a = 29.963 Å, b = 5.996 Å, c = 9.264 Å
α = 90.00°, β = 102.73°, γ = 90.00°
Space group C2/c (No. 15)
One atom of each set of equivalent atoms:
1 S 0.000 0.180 0.250 [4 per cell]
2 S 0.081 0.097 0.782 [8 per cell]
3 S 0.205 0.454 0.830 [8 per cell]
4 I 0.143 0.297 0.520 [8 per cell]
5 O 0.027 0.292 0.374 [8 per cell]
6 O 0.031 0.007 0.181 [8 per cell]
7 O 0.073 0.184 0.917 [8 per cell]
8 O 0.089 0.265 0.675 [8 per cell]
9 O 0.113 0.093 0.295 [8 per cell]
10 O 0.171 0.476 0.174 [8 per cell]
11 O 0.188 0.257 0.885 [8 per cell]
12 O 0.197 0.329 0.423 [8 per cell]
13 O 0.249 0.024 0.185 [8 per cell]